Computed powder X-ray diffraction pattern of Dy2Tm2Lu3Ni2Te2 for Cu Kα, from DFT lattice parameters and positions (PBE).

The 10 most intense peaks (2θ from 10° to 90°), sorted by position:
hkl 1 3 0, 2θ = 29.23°, 3.055 Å, I = 20
hkl 1 1 2, 2θ = 30.64°, 2.917 Å, I = 73
hkl 0 3 3, 2θ = 33.29°, 2.691 Å, I = 79
hkl 1 4 1, 2θ = 34.49°, 2.600 Å, I = 100
hkl 1 3 2, 2θ = 34.93°, 2.569 Å, I = 49
hkl 0 6 0, 2θ = 35.06°, 2.560 Å, I = 23
hkl 1 0 3, 2θ = 36.94°, 2.433 Å, I = 21
hkl 2 0 0, 2θ = 47.78°, 1.904 Å, I = 29
hkl 1 7 2, 2θ = 51.81°, 1.765 Å, I = 18
hkl 2 3 3, 2θ = 59.48°, 1.554 Å, I = 37

Crystal structure
```
data_Dy2Tm2Lu3Ni2Te2
_cell_length_a 3.807
_cell_length_b 15.359
_cell_length_c 9.490
_cell_angle_alpha 90.00
_cell_angle_beta 90.00
_cell_angle_gamma 90.00
_symmetry_space_group_name_H-M 'I m m 2'
_symmetry_Int_Tables_number 44
loop_
_symmetry_equiv_pos_as_xyz
'x,y,z'
'-x,-y,z'
'-x,y,z'
'x,-y,z'
'x+1/2,y+1/2,z+1/2'
'-x+1/2,-y+1/2,z+1/2'
'-x+1/2,y+1/2,z+1/2'
'x+1/2,-y+1/2,z+1/2'
loop_
_atom_site_label
_atom_site_type_symbol
_atom_site_fract_x
_atom_site_fract_y
_atom_site_fract_z
Dy1 Dy 0.000 0.185 0.000
Tm1 Tm 0.000 0.145 0.351
Lu1 Lu 0.000 0.366 0.205
Lu2 Lu 0.000 0.500 0.624
Ni1 Ni 0.000 0.263 0.694
Te1 Te 0.000 0.000 0.855
Te2 Te 0.000 0.500 0.963
```